For BaSrSi3Pd, DFT lattice parameters and positions (PBE) gives the calculated X-ray diffraction stick pattern in this record (Cu Ka).

Principal peaks in the range 2θ from 15° to 90°, by angle:
2θ 30.72, 2.910 Å, intensity 1000; 2θ 30.83, 2.900 Å, intensity 483; 2θ 37.25, 2.414 Å, intensity 271; 2θ 43.12, 2.098 Å, intensity 359; 2θ 53.73, 1.706 Å, intensity 196; 2θ 58.27, 1.584 Å, intensity 268

Structure:
```
BaSrSi3Pd
1.0
0.000 4.827 7.256
4.219 0.000 7.256
4.219 4.827 0.000
Ba Sr Si Pd
2 2 6 2
direct
0.247 0.753 0.247
0.753 0.247 0.753
0.250 0.250 0.250
0.750 0.750 0.750
0.169 0.662 0.831
0.334 0.334 0.666
0.338 0.831 0.662
0.662 0.169 0.338
0.666 0.666 0.334
0.831 0.338 0.169
0.169 0.169 0.831
0.831 0.831 0.169
```

***

For Dy4Pd3Pt, DFT lattice parameters and positions (PBE) gives the calculated X-ray diffraction stick pattern in this record (Cu Ka).

Principal peaks in the range 2θ from 15° to 90°, by angle:
2θ 28.57, 3.124 Å, intensity 347; 2θ 32.35, 2.767 Å, intensity 837; 2θ 34.17, 2.624 Å, intensity 621; 2θ 36.15, 2.485 Å, intensity 1000; 2θ 39.97, 2.256 Å, intensity 857; 2θ 40.87, 2.208 Å, intensity 516

Structure:
```
Dy4Pd3Pt
1.0
5.648 0.000 0.000
0.000 4.416 0.000
-0.006 0.000 7.101
Dy Pd Pt
4 3 1
direct
0.000 0.000 0.000
0.214 0.000 0.507
0.498 0.500 0.865
0.719 0.500 0.366
0.207 0.500 0.229
0.511 0.000 0.142
0.701 0.000 0.639
0.011 0.500 0.729
```

***

For ZrNi6Sn, DFT lattice parameters and positions (PBE) gives the calculated X-ray diffraction stick pattern in this record (Cu Ka).

Principal peaks in the range 2θ from 15° to 90°, by angle:
2θ 39.27, 2.294 Å, intensity 247; 2θ 42.29, 2.137 Å, intensity 269; 2θ 44.84, 2.021 Å, intensity 1000; 2θ 71.19, 1.324 Å, intensity 152; 2θ 79.14, 1.210 Å, intensity 175; 2θ 86.44, 1.126 Å, intensity 181

Structure:
```
ZrNi6Sn
1.0
5.298 0.000 0.000
-2.649 4.588 0.000
0.000 0.000 4.274
Zr Ni Sn
1 6 1
direct
0.000 0.000 0.000
0.353 0.177 0.500
0.509 0.017 0.000
0.509 0.491 0.000
0.823 0.177 0.500
0.823 0.647 0.500
0.983 0.491 0.000
0.333 0.667 0.500
```

***

For Y3Mg3Cd2Cu, DFT lattice parameters and positions (PBE) gives the calculated X-ray diffraction stick pattern in this record (Cu Ka).

Principal peaks in the range 2θ from 15° to 90°, by angle:
2θ 23.16, 3.840 Å, intensity 415; 2θ 31.59, 2.832 Å, intensity 1000; 2θ 34.42, 2.606 Å, intensity 811; 2θ 40.69, 2.217 Å, intensity 415; 2θ 41.90, 2.156 Å, intensity 313; 2θ 60.81, 1.523 Å, intensity 241

Structure:
```
Y3Mg3Cd2Cu
1.0
7.681 0.000 0.000
-3.840 6.652 0.000
0.000 0.000 4.192
Y Mg Cd Cu
3 3 2 1
direct
0.000 0.600 0.000
0.400 0.400 0.000
0.600 0.000 0.000
0.000 0.235 0.500
0.235 0.000 0.500
0.765 0.765 0.500
0.333 0.667 0.500
0.667 0.333 0.500
0.000 0.000 0.000
```

***

For K3PdBrF6, DFT lattice parameters and positions (PBE) gives the calculated X-ray diffraction stick pattern in this record (Cu Ka).

Principal peaks in the range 2θ from 15° to 90°, by angle:
2θ 21.91, 4.057 Å, intensity 1000; 2θ 22.37, 3.974 Å, intensity 744; 2θ 30.50, 2.931 Å, intensity 420; 2θ 31.84, 2.810 Å, intensity 701; 2θ 38.99, 2.310 Å, intensity 663; 2θ 44.68, 2.028 Å, intensity 519

Structure:
```
K3PdBrF6
1.0
7.949 0.000 0.000
0.000 7.949 0.000
0.000 0.000 5.861
K Pd Br F
6 2 2 12
direct
0.000 0.000 0.000
0.166 0.334 0.500
0.334 0.834 0.500
0.500 0.500 0.000
0.666 0.166 0.500
0.834 0.666 0.500
0.000 0.500 0.000
0.500 0.000 0.000
0.000 0.000 0.500
0.500 0.500 0.500
0.119 0.619 0.242
0.119 0.619 0.758
0.173 0.327 0.000
0.327 0.827 0.000
0.381 0.119 0.242
0.381 0.119 0.758
0.619 0.881 0.242
0.619 0.881 0.758
0.673 0.173 0.000
0.827 0.673 0.000
0.881 0.381 0.242
0.881 0.381 0.758
```

***

For Lu4CdSnC2, DFT lattice parameters and positions (PBE) gives the calculated X-ray diffraction stick pattern in this record (Cu Ka).

Principal peaks in the range 2θ from 15° to 90°, by angle:
2θ 29.39, 3.039 Å, intensity 222; 2θ 34.10, 2.629 Å, intensity 1000; 2θ 34.20, 2.622 Å, intensity 210; 2θ 52.13, 1.755 Å, intensity 209; 2θ 61.17, 1.515 Å, intensity 185; 2θ 63.81, 1.459 Å, intensity 376

Structure:
```
Lu4CdSnC2
1.0
3.509 0.000 0.000
-1.755 3.039 0.000
0.000 0.000 15.730
Lu Cd Sn C
4 1 1 2
direct
0.000 0.000 0.165
0.000 0.000 0.835
0.333 0.667 0.331
0.333 0.667 0.669
0.000 0.000 0.500
0.333 0.667 0.000
0.667 0.333 0.248
0.667 0.333 0.752
```